(1)
Starting from a cell relaxed with GGA-PBE, the powder XRD pattern of BaNa5Tl7 was calculated for λ = 1.5418 Å (Cu Kα).

Atomic structure:
Cell lengths 12.756, 11.133, 6.359 Å; angles 90.00, 119.25, 90.00 degrees
Space group Cm (No. 8)
Asymmetric unit:
Ba 0.000 0.000 0.000 (multiplicity 2)
Na 0.236 0.248 0.981 (multiplicity 4)
Na 0.237 0.247 0.490 (multiplicity 4)
Na 0.259 0.500 0.259 (multiplicity 2)
Tl 0.129 0.500 0.630 (multiplicity 2)
Tl 0.210 0.000 0.714 (multiplicity 2)
Tl 0.346 0.000 0.343 (multiplicity 2)
Tl 0.484 0.289 0.480 (multiplicity 4)
Tl 0.486 0.147 0.985 (multiplicity 4)

Top 8 peaks for 2θ = 5–70°, sorted by position:
hkl  2θ (°)  d [Å]  I (rel.)
1 1 0  11.24  7.871  44
2 0 0  15.93  5.563  46
1 3 -1  27.84  3.205  60
2 0 -2  28.05  3.181  83
1 3 1  32.14  2.785  100
3 3 -1  32.32  2.770  83
3 1 1  36.04  2.492  39
2 4 -1  36.15  2.484  56

(2)
Starting from a cell relaxed with GGA-PBE, the powder XRD pattern of CaO4 was calculated for λ = 1.5418 Å (Cu Kα).

Atomic structure:
Cell lengths 3.259, 3.251, 7.493 Å; angles 90.00, 91.70, 90.00 degrees
Space group P2/m (No. 10)
Asymmetric unit:
Ca 0.000 0.000 0.000 (multiplicity 1)
O 0.071 0.000 0.424 (multiplicity 2)
O 0.493 0.500 0.898 (multiplicity 2)

Top 8 peaks for 2θ = 5–70°, sorted by position:
hkl  2θ (°)  d [Å]  I (rel.)
0 0 1  11.82  7.490  100
0 0 2  23.76  3.745  63
0 1 0  27.41  3.254  27
0 1 2  36.61  2.455  20
1 0 2  37.11  2.423  14
1 1 0  39.15  2.301  64
1 1 -2  45.84  1.979  20
1 1 2  46.77  1.942  20

(3)
Starting from a cell relaxed with GGA-PBE, the powder XRD pattern of Nd2Sm2Th15 was calculated for λ = 1.5418 Å (Cu Kα).

Atomic structure:
Cell lengths 11.5443, 11.5443, 17.1655 Å; angles 90.00, 90.00, 120.00 degrees
Space group R-3m (No. 166, hexagonal axes)
Asymmetric unit:
Nd 0.0000 0.0000 0.1510 (multiplicity 6)
Sm 0.0000 0.0000 0.3977 (multiplicity 6)
Th 0.0000 0.3079 0.5000 (multiplicity 18)
Th 0.0000 0.5000 0.0000 (multiplicity 9)
Th 0.0137 0.5069 0.6638 (multiplicity 18)

Top 8 peaks for 2θ = 5–70°, sorted by position:
hkl  2θ (°)  d [Å]  I (rel.)
1 1 0  15.35  5.772  21
0 3 3  31.03  2.882  100
0 0 6  31.27  2.861  29
2 2 3  34.82  2.577  69
1 1 6  35.01  2.563  20
6 0 0  55.12  1.666  20
0 3 9  55.51  1.655  21
6 0 6  64.74  1.440  17

(4)
Starting from a cell relaxed with GGA-PBE, the powder XRD pattern of Cs10Se4S was calculated for λ = 1.5418 Å (Cu Kα).

Atomic structure:
Cell lengths 13.363, 13.363, 8.457 Å; angles 90.00, 90.00, 90.00 degrees
Space group I4/m (No. 87)
Asymmetric unit:
Cs 0.000 0.500 0.250 (multiplicity 4)
Cs 0.099 0.803 0.246 (multiplicity 16)
Se 0.100 0.299 0.500 (multiplicity 8)
S 0.000 0.000 0.000 (multiplicity 2)

Top 8 peaks for 2θ = 5–70°, sorted by position:
hkl  2θ (°)  d [Å]  I (rel.)
2 1 1  18.18  4.881  11
1 3 0  21.02  4.227  39
4 2 0  29.90  2.989  100
4 2 2  36.83  2.440  12
2 6 0  42.79  2.113  18
7 1 0  48.14  1.890  17
7 1 2  53.07  1.726  39
8 4 0  62.11  1.494  12

(5)
Starting from a cell relaxed with GGA-PBE, the powder XRD pattern of ZnTeIrO6 was calculated for λ = 1.5418 Å (Cu Kα).

Atomic structure:
Cell lengths 5.2381, 5.2381, 8.9623 Å; angles 90.00, 90.00, 120.00 degrees
Space group P-31c (No. 163)
Asymmetric unit:
Zn 0.0000 0.0000 0.0000 (multiplicity 2)
Te 0.3333 0.6667 0.2500 (multiplicity 2)
Ir 0.3333 0.6667 0.7500 (multiplicity 2)
O 0.0006 0.3506 0.1323 (multiplicity 12)

Top 8 peaks for 2θ = 5–70°, sorted by position:
hkl  2θ (°)  d [Å]  I (rel.)
0 0 2  19.81  4.481  46
1 0 2  27.99  3.188  100
1 1 0  34.24  2.619  63
1 1 2  39.87  2.261  47
2 0 2  44.78  2.024  27
1 1 4  53.85  1.703  56
2 1 2  57.56  1.601  26
3 0 0  61.31  1.512  22

(6)
Starting from a cell relaxed with GGA-PBE, the powder XRD pattern of MgGaHgSb was calculated for λ = 1.5418 Å (Cu Kα).

Atomic structure:
Cell lengths 7.275, 7.275, 7.275 Å; angles 90.00, 90.00, 90.00 degrees
Space group F-43m (No. 216)
Asymmetric unit:
Mg 0.000 0.000 0.000 (multiplicity 4)
Ga 0.000 0.000 0.500 (multiplicity 4)
Hg 0.250 0.250 0.750 (multiplicity 4)
Sb 0.250 0.250 0.250 (multiplicity 4)

Top 8 peaks for 2θ = 5–70°, sorted by position:
hkl  2θ (°)  d [Å]  I (rel.)
1 1 1  21.15  4.200  11
2 0 0  24.47  3.637  34
2 2 0  34.88  2.572  100
3 1 1  41.15  2.193  6
2 2 2  43.07  2.100  10
4 0 0  50.16  1.819  18
4 2 0  56.58  1.627  14
4 2 2  62.55  1.485  36

- Which formula does entry 3 have?
  Nd2Sm2Th15